Entry 1:
Theoretical X-ray powder pattern
Compound: Mg14BSb
Radiation: CuKα
Structure: the GGA-PBE geometry in the Materials Project
Peak positions follow from Bragg's law for the DFT cell and can differ from measured ones.

Cell and atoms:
```
16
Lattice="9.9312 0.0000 0.0000 0.0000 3.2687 5.4282 0.0000 -3.2687 5.4282" Properties=species:S:1:pos:R:3 pbc="T T T"
Mg 0.0000 0.0000 0.0000
Mg 0.0000 -1.6043 2.7549
Mg 0.0000 0.0000 5.4105
Mg 0.0000 1.6043 2.7549
Mg 2.4292 0.0000 7.3000
Mg 2.5802 0.0000 1.8087
Mg 2.6975 -1.7465 4.6239
Mg 2.6975 1.7465 4.6239
Mg 4.9656 -1.6631 7.9565
Mg 4.9656 1.6631 7.9565
Mg 7.2338 -1.7465 4.6239
Mg 7.2338 1.7465 4.6239
Mg 7.3511 0.0000 1.8087
Mg 7.5020 0.0000 7.3000
B 4.9656 0.0000 0.5202
Sb 4.9656 0.0000 5.4615
```

The 6 most intense peaks (2θ from 10° to 90°), sorted by position:
| Position (°2θ) | Rel. int. |
| --- | --- |
| 18.19 | 38 |
| 23.95 | 26 |
| 31.96 | 23 |
| 36.18 | 32 |
| 36.85 | 100 |
| 37.77 | 40 |

---

Entry 2:
Theoretical X-ray powder pattern
Compound: LiTi2O4
Radiation: CuKα
Structure: the GGA-PBE geometry in the Materials Project
Peak positions follow from Bragg's law for the DFT cell and can differ from measured ones.

Cell and atoms:
```
28
Lattice="8.2043 0.0000 0.0000 0.0000 3.9127 0.0000 -0.0156 0.0000 8.9051" Properties=species:S:1:pos:R:3 pbc="T T T"
Li 1.0338 0.0000 1.1802
Li 1.0359 1.9563 3.2714
Li 7.1527 1.9563 5.6336
Li 7.1549 0.0000 7.7249
Ti 1.1829 0.0000 5.5467
Ti 1.1883 1.9563 7.8864
Ti 3.1775 0.0000 3.4078
Ti 3.1826 1.9563 0.9882
Ti 5.0112 0.0000 5.4973
Ti 5.0060 1.9563 7.9169
Ti 7.0003 1.9563 1.0187
Ti 7.0058 0.0000 3.3583
O 0.9492 0.0000 7.6217
O 0.9487 1.9563 5.7957
O 1.0188 1.9563 0.8863
O 1.0227 0.0000 3.5881
O 3.0227 0.0000 1.3087
O 3.0252 1.9563 3.0846
O 3.0646 0.0000 5.3650
O 3.0653 1.9563 7.9279
O 5.1240 0.0000 3.5401
O 5.1234 1.9563 0.9772
O 5.1659 0.0000 7.5964
O 5.1634 1.9563 5.8204
O 7.1660 0.0000 5.3169
O 7.1699 1.9563 8.0188
O 7.2394 0.0000 1.2834
O 7.2400 1.9563 3.1094
```

The 6 most intense peaks (2θ from 10° to 90°), sorted by position:
| Position (°2θ) | Rel. int. |
| --- | --- |
| 23.88 | 85 |
| 24.86 | 100 |
| 40.52 | 52 |
| 44.16 | 41 |
| 46.42 | 40 |
| 63.28 | 22 |